For Pm3Er2Tm7, the GGA-PBE geometry in Alexandria gives the simulated powder X-ray diffraction pattern in this record (copper Kα).

Structure:
```
12
Lattice="5.7574 0.0000 0.0000 0.0000 3.5331 0.0000 -0.9899 0.0000 18.5864" Properties=species:S:1:pos:R:3 pbc="T T T"
Pm 0.0000 0.0000 0.0000
Pm 0.9715 1.7665 11.7664
Pm 3.7960 1.7665 6.8200
Er 0.9204 0.0000 5.4209
Er 3.8471 0.0000 13.1655
Tm 0.9569 1.7665 2.6629
Tm 0.9409 0.0000 8.5859
Tm 0.9476 0.0000 15.3262
Tm 2.8787 1.7665 0.0000
Tm 3.8199 0.0000 3.2602
Tm 3.8267 0.0000 10.0005
Tm 3.8106 1.7665 15.9235
```

Principal peaks in the range 10° ≤ 2θ ≤ 80°, in order of rising 2θ:
(1 1 -2), d 2.887, 2θ 31.0, intensity 30; (2 0 0), d 2.875, 2θ 31.1, intensity 27; (2 0 -1), d 2.864, 2θ 31.2, intensity 34; (1 1 2), d 2.841, 2θ 31.5, intensity 100; (0 1 4), d 2.812, 2θ 31.8, intensity 29; (1 0 -6), d 2.789, 2θ 32.1, intensity 48; (1 0 6), d 2.667, 2θ 33.6, intensity 34; (1 1 -4), d 2.559, 2θ 35.1, intensity 39